Structure and computed powder diffractogram of CuH (the GGA-PBE geometry in OQMD; λ = 1.5418 Å (Cu Kα)).
Neutral-atom scattering factors, no anomalous dispersion.

Cell and atoms:
Cell lengths 2.482, 2.482, 2.482 Å; angles 90.00, 90.00, 90.00 degrees
Element x y z (fractional)
Cu1 0.000 0.000 0.000
H1 0.500 0.500 0.500

Largest 5 diffraction maxima, low angle first, 2θ from 10° to 90°:
2θ/deg	I/Imax
36.19	100
52.12	71
65.10	22
76.81	10
87.99	27

Structure and computed powder diffractogram of K2HfCuH6 (the GGA-PBE geometry in OQMD; λ = 1.5418 Å (Cu Kα)).
Neutral-atom scattering factors, no anomalous dispersion.

Cell and atoms:
Cell lengths 9.781, 5.013, 10.992 Å; angles 90.00, 90.00, 90.00 degrees
Element x y z (fractional)
K1 0.069 0.250 0.158
K2 0.160 0.250 0.767
K3 0.340 0.750 0.267
K4 0.431 0.750 0.658
K5 0.569 0.250 0.342
K6 0.660 0.250 0.733
K7 0.840 0.750 0.233
K8 0.931 0.750 0.842
Hf1 0.086 0.750 0.518
Hf2 0.414 0.250 0.018
Hf3 0.586 0.750 0.982
Hf4 0.914 0.250 0.482
Cu1 0.238 0.250 0.481
Cu2 0.262 0.750 0.981
Cu3 0.738 0.250 0.019
Cu4 0.762 0.750 0.519
H1 0.049 0.019 0.385
H2 0.049 0.481 0.385
H3 0.095 0.250 0.555
H4 0.159 0.750 0.685
H5 0.216 0.050 0.977
H6 0.216 0.450 0.977
H7 0.284 0.550 0.477
H8 0.284 0.950 0.477
H9 0.341 0.250 0.185
H10 0.405 0.750 0.055
H11 0.451 0.519 0.885
H12 0.451 0.981 0.885
H13 0.549 0.019 0.115
H14 0.549 0.481 0.115
H15 0.595 0.250 0.945
H16 0.659 0.750 0.815
H17 0.716 0.050 0.523
H18 0.716 0.450 0.523
H19 0.784 0.550 0.023
H20 0.784 0.950 0.023
H21 0.841 0.250 0.315
H22 0.905 0.750 0.445
H23 0.951 0.519 0.615
H24 0.951 0.981 0.615

Largest 12 diffraction maxima, low angle first, 2θ from 10° to 90°:
2θ/deg	I/Imax
12.11	100
16.13	50
25.97	34
30.26	57
32.58	14
33.80	67
35.83	22
37.95	13
41.21	21
44.78	16
53.38	11
53.49	12

Structure and computed powder diffractogram of Mg2CuH6Ir (the GGA-PBE geometry in OQMD; λ = 1.5418 Å (Cu Kα)).
Neutral-atom scattering factors, no anomalous dispersion.

Cell and atoms:
Cell lengths 4.937, 4.937, 4.937 Å; angles 60.00, 60.00, 60.00 degrees
Element x y z (fractional)
Mg1 0.250 0.250 0.250
Mg2 0.750 0.750 0.750
Cu1 0.000 0.000 0.000
H1 0.250 0.250 0.750
H2 0.250 0.750 0.250
H3 0.250 0.750 0.750
H4 0.750 0.250 0.250
H5 0.750 0.250 0.750
H6 0.750 0.750 0.250
Ir1 0.500 0.500 0.500

Largest 12 diffraction maxima, low angle first, 2θ from 10° to 90°:
2θ/deg	I/Imax
22.05	35
25.52	58
36.40	100
42.96	19
44.98	16
52.42	18
57.54	9
59.18	23
65.49	35
77.31	11
82.98	11
88.59	16

- What is the formula in the first record?
  CuH

What did the first record say?
Structure and computed powder diffractogram of CuH (the GGA-PBE geometry in OQMD; λ = 1.5418 Å (Cu Kα)).
Neutral-atom scattering factors, no anomalous dispersion.

Cell and atoms:
Cell lengths 2.482, 2.482, 2.482 Å; angles 90.00, 90.00, 90.00 degrees
Element x y z (fractional)
Cu1 0.000 0.000 0.000
H1 0.500 0.500 0.500

Largest 5 diffraction maxima, low angle first, 2θ from 10° to 90°:
2θ/deg	I/Imax
36.19	100
52.12	71
65.10	22
76.81	10
87.99	27